Structure and computed X-ray diffraction stick pattern of BaSrTbHfO6 (a structure optimized by DFT (PBE); Cu Kα (weighted mean of Kα1 and Kα2)).
Kinematic intensities with the Lorentz-polarization factor, no thermal factor.

Crystal structure
```
data_BaSrTbHfO6
_chemical_formula_sum 'Ba4 Sr4 Tb4 Hf4 O24'
_space_group_name_H-M_alt 'P 2 2 2'
_space_group_IT_number 16
_space_group_name_Hall 'P 2 2'
_cell_length_a 8.5554
_cell_length_b 8.5604
_cell_length_c 8.5672
_cell_angle_alpha 90.00
_cell_angle_beta 90.00
_cell_angle_gamma 90.00
loop_
_atom_site_label
_atom_site_fract_x
_atom_site_fract_y
_atom_site_fract_z
_atom_site_occupancy
Ba1 0.0000 0.0000 0.0000 1
Ba2 0.0000 0.5000 0.0000 1
Ba3 0.5000 0.0000 0.0000 1
Ba4 0.5000 0.5000 0.5000 1
Sr1 0.0000 0.0000 0.5000 1
Sr2 0.0000 0.5000 0.5000 1
Sr3 0.5000 0.0000 0.5000 1
Sr4 0.5000 0.5000 0.0000 1
Tb1 0.2506 0.2521 0.2532 1
Hf1 0.2502 0.2516 0.7460 1
O1 0.0109 0.2159 0.7163 1
O2 0.2137 0.4890 0.7102 1
O3 0.2241 0.2735 0.9887 1
O4 0.2767 0.0107 0.7752 1
O5 0.2920 0.2145 0.5101 1
O6 0.4888 0.2906 0.7815 1
```

Top 10 peaks for 10° ≤ 2θ ≤ 90°, by angle:
| index | d_spacing | 2θ/deg | Rel. int. |
| --- | --- | --- | --- |
| 2 0 0 | 4.281 | 20.75 | 9 |
| 2 2 0 | 3.027 | 29.51 | 100 |
| 4 0 0 | 2.140 | 42.22 | 27 |
| 2 4 0 | 1.914 | 47.50 | 4 |
| 2 4 2 | 1.748 | 52.35 | 44 |
| 4 4 0 | 1.513 | 61.25 | 17 |
| 2 4 4 | 1.427 | 65.41 | 2 |
| 2 6 0 | 1.354 | 69.43 | 18 |
| 4 4 4 | 1.236 | 77.20 | 5 |
| 2 6 4 | 1.144 | 84.73 | 22 |

Structure and computed X-ray diffraction stick pattern of Re3Pb3N5 (a structure optimized by DFT (PBE); Cu Kα (weighted mean of Kα1 and Kα2)).
Kinematic intensities with the Lorentz-polarization factor, no thermal factor.

Crystal structure
```
data_Re3Pb3N5
_chemical_formula_sum 'Re6 Pb6 N10'
_space_group_name_H-M_alt 'P -1'
_space_group_IT_number 2
_space_group_name_Hall '-P 1'
_cell_length_a 6.2375
_cell_length_b 7.6757
_cell_length_c 8.3607
_cell_angle_alpha 106.94
_cell_angle_beta 95.71
_cell_angle_gamma 94.39
loop_
_atom_site_label
_atom_site_fract_x
_atom_site_fract_y
_atom_site_fract_z
_atom_site_occupancy
Re1 0.0645 0.4348 0.2082 1
Re2 0.0940 0.1631 0.5103 1
Re3 0.3535 0.5424 0.8964 1
Pb1 0.2500 0.0432 0.9339 1
Pb2 0.3127 0.8562 0.2749 1
Pb3 0.4411 0.7148 0.6003 1
N1 0.1171 0.3238 0.3658 1
N2 0.1439 0.3772 0.7174 1
N3 0.1500 0.7276 0.9714 1
N4 0.1800 0.9655 0.6177 1
N5 0.3256 0.4492 0.0961 1
```

Top 10 peaks for 10° ≤ 2θ ≤ 90°, by angle:
| index | d_spacing | 2θ/deg | Rel. int. |
| --- | --- | --- | --- |
| 1 -1 2 | 3.273 | 27.24 | 67 |
| 0 2 1 | 2.990 | 29.88 | 100 |
| 1 2 -2 | 2.854 | 31.34 | 75 |
| -2 1 1 | 2.773 | 32.28 | 94 |
| 2 0 1 | 2.758 | 32.46 | 20 |
| 2 1 0 | 2.734 | 32.75 | 53 |
| 1 0 -3 | 2.551 | 35.18 | 54 |
| 1 -3 1 | 2.423 | 37.10 | 42 |
| 1 4 -1 | 1.781 | 51.29 | 18 |
| 2 -4 3 | 1.551 | 59.60 | 18 |

Structure and computed X-ray diffraction stick pattern of SrMg6C (a structure optimized by DFT (PBE); Cu Kα (weighted mean of Kα1 and Kα2)).
Kinematic intensities with the Lorentz-polarization factor, no thermal factor.

Crystal structure
```
data_SrMg6C
_chemical_formula_sum 'Sr2 Mg12 C2'
_space_group_name_H-M_alt 'A m m 2'
_space_group_IT_number 38
_space_group_name_Hall 'A 2 -2'
_cell_length_a 3.5641
_cell_length_b 6.2166
_cell_length_c 17.0398
_cell_angle_alpha 90.00
_cell_angle_beta 90.00
_cell_angle_gamma 90.00
loop_
_atom_site_label
_atom_site_fract_x
_atom_site_fract_y
_atom_site_fract_z
_atom_site_occupancy
Sr1 0.0000 0.0000 0.0000 1
Mg1 0.0000 0.0000 0.5613 1
Mg2 0.0000 0.2178 0.8078 1
Mg3 0.5000 0.0000 0.4212 1
Mg4 0.5000 0.2479 0.6736 1
C1 0.5000 0.0000 0.7806 1
```

Top 10 peaks for 10° ≤ 2θ ≤ 90°, by angle:
| index | d_spacing | 2θ/deg | Rel. int. |
| --- | --- | --- | --- |
| 0 1 1 | 5.840 | 15.17 | 44 |
| 1 0 2 | 3.288 | 27.12 | 44 |
| 1 1 1 | 3.042 | 29.36 | 59 |
| 0 1 5 | 2.988 | 29.90 | 64 |
| 0 2 2 | 2.920 | 30.62 | 100 |
| 1 0 4 | 2.734 | 32.76 | 89 |
| 1 1 3 | 2.716 | 32.98 | 46 |
| 1 2 2 | 2.259 | 39.91 | 78 |
| 1 2 6 | 1.807 | 50.50 | 34 |
| 2 0 0 | 1.782 | 51.27 | 31 |

Structure and computed X-ray diffraction stick pattern of MgPb2 (a structure optimized by DFT (PBE); Cu Kα (weighted mean of Kα1 and Kα2)).
Kinematic intensities with the Lorentz-polarization factor, no thermal factor.

Crystal structure
```
data_MgPb2
_chemical_formula_sum 'Mg4 Pb8'
_space_group_name_H-M_alt 'P n m a'
_space_group_IT_number 62
_space_group_name_Hall '-P 2ac 2n'
_cell_length_a 7.3021
_cell_length_b 5.0008
_cell_length_c 9.4997
_cell_angle_alpha 90.00
_cell_angle_beta 90.00
_cell_angle_gamma 90.00
loop_
_atom_site_label
_atom_site_fract_x
_atom_site_fract_y
_atom_site_fract_z
_atom_site_occupancy
Mg1 0.2442 0.2500 0.1274 1
Pb1 0.0420 0.2500 0.8195 1
Pb2 0.1795 0.2500 0.4449 1
```

Top 10 peaks for 10° ≤ 2θ ≤ 90°, by angle:
| index | d_spacing | 2θ/deg | Rel. int. |
| --- | --- | --- | --- |
| 1 1 1 | 3.784 | 23.51 | 67 |
| 1 1 2 | 3.115 | 28.66 | 100 |
| 2 1 0 | 2.949 | 30.31 | 71 |
| 1 0 3 | 2.905 | 30.78 | 55 |
| 2 0 2 | 2.895 | 30.89 | 44 |
| 2 1 1 | 2.816 | 31.77 | 90 |
| 0 1 3 | 2.675 | 33.50 | 48 |
| 1 1 3 | 2.511 | 35.75 | 40 |
| 0 2 0 | 2.500 | 35.92 | 62 |
| 1 2 3 | 1.894 | 48.04 | 59 |

Structure and computed X-ray diffraction stick pattern of Ce4Sn25Pt12 (a structure optimized by DFT (PBE); Cu Kα (weighted mean of Kα1 and Kα2)).
Kinematic intensities with the Lorentz-polarization factor, no thermal factor.

Crystal structure
```
data_Ce4Sn25Pt12
_chemical_formula_sum 'Ce8 Sn50 Pt24'
_space_group_name_H-M_alt 'I m -3'
_space_group_IT_number 204
_space_group_name_Hall '-I 2 2 3'
_cell_length_a 12.3658
_cell_length_b 12.3658
_cell_length_c 12.3658
_cell_angle_alpha 90.00
_cell_angle_beta 90.00
_cell_angle_gamma 90.00
loop_
_atom_site_label
_atom_site_fract_x
_atom_site_fract_y
_atom_site_fract_z
_atom_site_occupancy
Ce1 0.2500 0.2500 0.2500 1
Sn1 0.0000 0.0000 0.0000 1
Sn2 0.0000 0.2498 0.1231 1
Sn3 0.0000 0.3734 0.3799 1
Pt1 0.0000 0.1676 0.3194 1
```

Top 10 peaks for 10° ≤ 2θ ≤ 90°, by angle:
| index | d_spacing | 2θ/deg | Rel. int. |
| --- | --- | --- | --- |
| 3 1 0 | 3.910 | 22.74 | 50 |
| 4 1 1 | 2.915 | 30.67 | 76 |
| 4 2 0 | 2.765 | 32.38 | 98 |
| 4 2 2 | 2.524 | 35.57 | 83 |
| 4 1 3 | 2.425 | 37.07 | 38 |
| 5 0 3 | 2.121 | 42.63 | 100 |
| 5 3 2 | 2.006 | 45.20 | 62 |
| 6 3 1 | 1.823 | 50.03 | 45 |
| 6 3 5 | 1.478 | 62.88 | 33 |
| 8 5 3 | 1.249 | 76.22 | 37 |

Structure and computed X-ray diffraction stick pattern of SmP4HO12 (a structure optimized by DFT (PBE); Cu Kα (weighted mean of Kα1 and Kα2)).
Kinematic intensities with the Lorentz-polarization factor, no thermal factor.

Crystal structure
```
data_SmP4HO12
_chemical_formula_sum 'Sm2 P8 H2 O24'
_space_group_name_H-M_alt 'P -1'
_space_group_IT_number 2
_space_group_name_Hall '-P 1'
_cell_length_a 7.2834
_cell_length_b 8.7447
_cell_length_c 8.9998
_cell_angle_alpha 99.47
_cell_angle_beta 112.33
_cell_angle_gamma 105.94
loop_
_atom_site_label
_atom_site_fract_x
_atom_site_fract_y
_atom_site_fract_z
_atom_site_occupancy
Sm1 0.0936 0.2672 0.2584 1
P1 0.0671 0.3777 0.6559 1
P2 0.2100 0.1858 0.8945 1
P3 0.3867 0.7106 0.4198 1
P4 0.4204 0.8657 0.1499 1
H1 0.5000 0.1312 0.2578 1
O1 0.0604 0.0186 0.7686 1
O2 0.0940 0.5579 0.7013 1
O3 0.1576 0.3150 0.5452 1
O4 0.1598 0.3375 0.8324 1
O5 0.1834 0.7419 0.4296 1
O6 0.1923 0.7950 0.0229 1
O7 0.2357 0.2174 0.0706 1
O8 0.3249 0.5382 0.3116 1
O9 0.4394 0.2278 0.4014 1
O10 0.4483 0.2262 0.9068 1
O11 0.4566 0.8469 0.3306 1
O12 0.4575 0.9445 0.8103 1
```

Top 10 peaks for 10° ≤ 2θ ≤ 90°, by angle:
| index | d_spacing | 2θ/deg | Rel. int. |
| --- | --- | --- | --- |
| 0 1 -1 | 6.751 | 13.11 | 74 |
| 1 0 0 | 6.261 | 14.15 | 40 |
| 1 -1 1 | 4.438 | 20.01 | 62 |
| 1 0 -2 | 4.346 | 20.44 | 69 |
| 1 1 0 | 4.233 | 20.99 | 56 |
| 0 2 0 | 4.008 | 22.18 | 100 |
| 2 -1 0 | 3.368 | 26.46 | 59 |
| -2 1 2 | 3.186 | 28.01 | 45 |
| 0 3 -1 | 2.803 | 31.92 | 49 |
| 0 1 -3 | 2.774 | 32.27 | 57 |

Structure and computed X-ray diffraction stick pattern of Ba4Nd5Cu9O22 (a structure optimized by DFT (PBE); Cu Kα (weighted mean of Kα1 and Kα2)).
Kinematic intensities with the Lorentz-polarization factor, no thermal factor.

Crystal structure
```
data_Ba4Nd5Cu9O22
_chemical_formula_sum 'Ba4 Nd5 Cu9 O22'
_space_group_name_H-M_alt 'P 1 2/m 1'
_space_group_IT_number 10
_space_group_name_Hall '-P 2y'
_cell_length_a 11.7124
_cell_length_b 3.9084
_cell_length_c 12.3154
_cell_angle_alpha 90.00
_cell_angle_beta 108.50
_cell_angle_gamma 90.00
loop_
_atom_site_label
_atom_site_fract_x
_atom_site_fract_y
_atom_site_fract_z
_atom_site_occupancy
Ba1 0.1036 0.0000 0.3181 1
Ba2 0.2259 0.0000 0.6839 1
Nd1 0.0000 0.0000 0.0000 1
Nd2 0.3360 0.0000 0.0060 1
Nd3 0.4491 0.0000 0.3470 1
Cu1 0.0000 0.5000 0.5000 1
Cu2 0.1179 0.5000 0.8518 1
Cu3 0.2198 0.5000 0.1551 1
Cu4 0.3354 0.5000 0.5001 1
Cu5 0.4494 0.5000 0.8460 1
O1 0.0000 0.0000 0.5000 1
O2 0.0440 0.5000 0.1311 1
O3 0.0542 0.5000 0.6605 1
O4 0.1252 0.0000 0.8737 1
O5 0.2126 0.0000 0.1335 1
O6 0.2920 0.5000 0.3362 1
O7 0.2923 0.5000 0.8744 1
O8 0.3427 0.0000 0.5001 1
O9 0.3798 0.5000 0.1381 1
O10 0.4010 0.5000 0.6642 1
O11 0.4565 0.0000 0.8671 1
O12 0.5000 0.5000 0.5000 1
```

Top 10 peaks for 10° ≤ 2θ ≤ 90°, by angle:
| index | d_spacing | 2θ/deg | Rel. int. |
| --- | --- | --- | --- |
| 0 1 0 | 3.903 | 22.79 | 10 |
| 3 0 -4 | 2.759 | 32.45 | 100 |
| 3 1 -4 | 2.253 | 40.02 | 11 |
| 0 2 0 | 1.953 | 46.50 | 20 |
| 0 0 6 | 1.946 | 46.66 | 7 |
| 3 2 -4 | 1.594 | 57.85 | 26 |
| 3 1 -7 | 1.591 | 57.96 | 11 |
| 6 2 -2 | 1.381 | 67.86 | 6 |
| 0 2 6 | 1.379 | 67.99 | 9 |
| 3 3 -1 | 1.235 | 77.23 | 8 |